# 1
# BaCaMn4O8
Computed powder diffractogram, λ = 1.5418 Å (Cu Kα). Input: a cell relaxed with GGA+U.
Kinematic intensities with the Lorentz-polarization factor, no thermal factor.

Structural model:
```
data_BaCaMn4O8
_cell_length_a 5.5921
_cell_length_b 5.5921
_cell_length_c 7.6933
_cell_angle_alpha 90.00
_cell_angle_beta 90.00
_cell_angle_gamma 120.00
_space_group_name_H-M_alt 'P -3 1 m'
_space_group_IT_number 162
_space_group_name_Hall '-P 3 2'
loop_
_atom_site_label
_atom_site_type_symbol
_atom_site_fract_x
_atom_site_fract_y
_atom_site_fract_z
Ba1 Ba 0.0000 0.0000 0.0000
Ca1 Ca 0.0000 0.0000 0.5000
Mn1 Mn 0.3333 0.6667 0.2441
O1 O 0.0000 0.3248 0.2994
O2 O 0.3333 0.6667 0.0000
```

Principal peaks in the range 2θ = 5–70°, in order of rising 2θ:
index  two_theta  I/Imax
0 0 1  11.50  20
1 0 2  29.66  100
1 1 0  32.01  84
2 -1 1  34.12  27
2 0 2  44.20  34
2 1 2  55.60  33
3 0 0  57.05  26
2 -1 4  58.22  33

# 2
# K2FeC4O4
Computed powder diffractogram, λ = 1.5418 Å (Cu Kα). Input: a cell relaxed with GGA+U.
Kinematic intensities with the Lorentz-polarization factor, no thermal factor.

Structural model:
```
data_K2FeC4O4
_cell_length_a 5.6347
_cell_length_b 11.6151
_cell_length_c 23.6282
_cell_angle_alpha 90.00
_cell_angle_beta 90.00
_cell_angle_gamma 90.00
_space_group_name_H-M_alt 'F d d d'
_space_group_IT_number 70
loop_
_space_group_symop_operation_xyz
'x,y,z'
'-x,-y,-z'
'-x+1/4,-y+1/4,z'
'x+1/4,y+1/4,-z'
'x,-y+1/4,-z+1/4'
'-x,y+1/4,z+1/4'
'-x+1/4,y,-z+1/4'
'x+1/4,-y,z+1/4'
'x,y+1/2,z+1/2'
'-x,-y+1/2,-z+1/2'
'-x+1/4,-y+3/4,z+1/2'
'x+1/4,y+3/4,-z+1/2'
'x,-y+3/4,-z+3/4'
'-x,y+3/4,z+3/4'
'-x+1/4,y+1/2,-z+3/4'
'x+1/4,-y+1/2,z+3/4'
'x+1/2,y,z+1/2'
'-x+1/2,-y,-z+1/2'
'-x+3/4,-y+1/4,z+1/2'
'x+3/4,y+1/4,-z+1/2'
'x+1/2,-y+1/4,-z+3/4'
'-x+1/2,y+1/4,z+3/4'
'-x+3/4,y,-z+3/4'
'x+3/4,-y,z+3/4'
'x+1/2,y+1/2,z'
'-x+1/2,-y+1/2,-z'
'-x+3/4,-y+3/4,z'
'x+3/4,y+3/4,-z'
'x+1/2,-y+3/4,-z+1/4'
'-x+1/2,y+3/4,z+1/4'
'-x+3/4,y+1/2,-z+1/4'
'x+3/4,-y+1/2,z+1/4'
loop_
_atom_site_label
_atom_site_type_symbol
_atom_site_fract_x
_atom_site_fract_y
_atom_site_fract_z
K1 K 0.1250 0.1250 0.3022
Fe1 Fe 0.1250 0.1250 0.6250
C1 C 0.0715 0.3023 0.8314
O1 O 0.0353 0.2577 0.4490
```

Principal peaks in the range 2θ = 5–70°, in order of rising 2θ:
index  two_theta  I/Imax
1 1 3  20.84  40
1 1 5  25.77  13
0 2 6  27.36  39
1 3 3  30.22  100
2 2 0  35.41  16
1 1 9  38.62  13
2 0 6  39.32  23
1 5 3  43.69  15